[1]
This entry pairs a crystal structure of Ni3BO5 with its computed powder XRD pattern. Radiation: copper Kα. Structure: a PBE+U-relaxed structure.
Kinematic intensities with the Lorentz-polarization factor, no thermal factor.

Principal peaks in the range 2θ from 15° to 90°, sorted by position:
hkl  d (Å)  2θ/deg  I_rel
1 2 0  5.103  17.4  59
2 0 0  4.560  19.5  21
2 4 0  2.552  35.2  100
2 0 1  2.502  35.9  76
1 3 1  2.337  38.5  31
3 1 1  2.101  43.0  23
3 2 1  2.015  45.0  31
3 3 1  1.892  48.1  35
4 4 1  1.563  59.1  25
0 0 2  1.496  62.0  54
5 3 1  1.456  63.9  21
2 4 2  1.291  73.4  21

Cell and atoms:
Cell lengths 9.1206, 12.3151, 2.9918 Å; angles 90.00, 90.00, 90.00 degrees
Element x y z (fractional)
Ni  0.0000  0.0000  0.0000
Ni  0.0000  0.5000  0.5000
Ni  0.0025  0.2197  0.5000
Ni  0.2400  0.6136  0.0000
Ni  0.2600  0.1136  0.0000
Ni  0.4975  0.7197  0.5000
Ni  0.5000  0.0000  0.5000
Ni  0.5000  0.5000  0.0000
Ni  0.5025  0.2803  0.5000
Ni  0.7400  0.8864  0.0000
Ni  0.7600  0.3864  0.0000
Ni  0.9975  0.7803  0.5000
B  0.2263  0.3612  0.0000
B  0.2737  0.8612  0.0000
B  0.7263  0.1388  0.0000
B  0.7737  0.6388  0.0000
O  0.1084  0.6431  0.5000
O  0.1161  0.0782  0.5000
O  0.1217  0.8597  0.0000
O  0.1495  0.4579  0.0000
O  0.1508  0.2636  0.0000
O  0.3492  0.7636  0.0000
O  0.3505  0.9579  0.0000
O  0.3783  0.3597  0.0000
O  0.3839  0.5782  0.5000
O  0.3916  0.1431  0.5000
O  0.6084  0.8569  0.5000
O  0.6161  0.4218  0.5000
O  0.6217  0.6403  0.0000
O  0.6495  0.0421  0.0000
O  0.6508  0.2364  0.0000
O  0.8492  0.7364  0.0000
O  0.8505  0.5421  0.0000
O  0.8783  0.1403  0.0000
O  0.8839  0.9218  0.5000
O  0.8916  0.3569  0.5000

---

[2]
This entry pairs a crystal structure of Ba3NiIr2O9 with its computed powder XRD pattern. Radiation: copper Kα. Structure: a PBE+U-relaxed structure.
Kinematic intensities with the Lorentz-polarization factor, no thermal factor.

Principal peaks in the range 2θ from 15° to 90°, sorted by position:
hkl  d (Å)  2θ/deg  I_rel
1 0 1  4.759  18.6  36
1 0 3  3.471  25.7  13
1 0 4  2.924  30.6  42
1 1 0  2.912  30.7  100
1 0 5  2.495  36.0  35
2 0 3  2.231  40.4  11
2 0 4  2.063  43.9  25
2 0 5  1.895  48.0  20
3 0 0  1.682  54.5  37
2 1 5  1.588  58.1  19
2 2 0  1.456  63.9  18
4 1 0  1.101  88.9  16

Cell and atoms:
Cell lengths 5.8247, 5.8247, 14.3531 Å; angles 90.00, 90.00, 120.00 degrees
Element x y z (fractional)
Ba  0.0000  0.0000  0.2500
Ba  0.0000  0.0000  0.7500
Ba  0.3333  0.6667  0.0835
Ba  0.3333  0.6667  0.4165
Ba  0.6667  0.3333  0.5835
Ba  0.6667  0.3333  0.9165
Ni  0.0000  0.0000  0.0000
Ni  0.0000  0.0000  0.5000
Ir  0.3333  0.6667  0.6598
Ir  0.3333  0.6667  0.8402
Ir  0.6667  0.3333  0.1598
Ir  0.6667  0.3333  0.3402
O  0.0210  0.5105  0.7500
O  0.1719  0.3438  0.5828
O  0.1719  0.3438  0.9172
O  0.1719  0.8281  0.5828
O  0.1719  0.8281  0.9172
O  0.3438  0.1719  0.0828
O  0.3438  0.1719  0.4172
O  0.4895  0.5105  0.7500
O  0.4895  0.9790  0.7500
O  0.5105  0.0210  0.2500
O  0.5105  0.4895  0.2500
O  0.6562  0.8281  0.5828
O  0.6562  0.8281  0.9172
O  0.8281  0.1719  0.0828
O  0.8281  0.1719  0.4172
O  0.8281  0.6562  0.0828
O  0.8281  0.6562  0.4172
O  0.9790  0.4895  0.2500